BaH4O3: theoretical powder diffraction line list (Cu Kα, 1.54184 Å), based on a crystal structure in Alexandria, relaxed with GGA-PBE.
Lines closer than 0.1° are merged.

Peak list (10 most intense, 2θ = 10–90°, low angle first)
Position (°2θ)	I_rel
13.8	65
18.7	100
22.5	51
25.3	58
26.6	34
29.5	70
30.7	64
34.1	54
37.0	56
38.4	87

Lattice parameters (Å, degrees): 3.9434 6.3983 7.0399 90.00 90.00 90.00
Space group Pmc2_1 (No. 26)
Unique sites:
Ba 0.0000 0.1430 0.0000 (multiplicity 2)
H 0.2012 0.3769 0.5654 (multiplicity 4)
H 0.5000 0.1959 0.3552 (multiplicity 2)
H 0.5000 0.4851 0.8460 (multiplicity 2)
O 0.0000 0.2941 0.6155 (multiplicity 2)
O 0.5000 0.0645 0.2841 (multiplicity 2)
O 0.5000 0.4671 0.9836 (multiplicity 2)

BaH2O: theoretical powder diffraction line list (Cu Kα, 1.54184 Å), based on a crystal structure in Alexandria, relaxed with GGA-PBE.
Lines closer than 0.1° are merged.

Peak list (10 most intense, 2θ = 10–90°, low angle first)
Position (°2θ)	I_rel
22.9	100
25.5	88
26.5	52
30.9	19
34.1	25
41.2	70
43.1	42
47.7	28
50.4	14
65.9	13

Lattice parameters (Å, degrees): 4.3795 5.2562 5.7872 90.00 90.00 90.00
Space group Imm2 (No. 44)
Unique sites:
Ba 0.0000 0.0000 0.0000 (multiplicity 2)
H 0.0000 0.5000 0.0557 (multiplicity 2)
H 0.0000 0.5000 0.7916 (multiplicity 2)
O 0.0000 0.5000 0.2291 (multiplicity 2)

Ba3H3O: theoretical powder diffraction line list (Cu Kα, 1.54184 Å), based on a crystal structure in Alexandria, relaxed with GGA-PBE.
Lines closer than 0.1° are merged.

Peak list (10 most intense, 2θ = 10–90°, low angle first)
Position (°2θ)	I_rel
16.0	45
22.7	24
27.9	100
32.4	64
36.3	23
46.4	45
55.1	46
57.7	16
74.8	19
77.1	20

Lattice parameters (Å, degrees): 5.5308 5.5308 5.5308 90.00 90.00 90.00
Space group Pm-3m (No. 221)
Unique sites:
Ba 0.0000 0.0000 0.5000 (multiplicity 3)
H 0.0000 0.5000 0.5000 (multiplicity 3)
O 0.0000 0.0000 0.0000 (multiplicity 1)

BaH16O10: theoretical powder diffraction line list (Cu Kα, 1.54184 Å), based on a crystal structure in Alexandria, relaxed with GGA-PBE.
Lines closer than 0.1° are merged.

Peak list (10 most intense, 2θ = 10–90°, low angle first)
Position (°2θ)	I_rel
13.6	87
15.5	79
19.3	55
20.7	85
24.9	100
31.7	35
31.8	74
34.3	39
37.1	43
44.1	56

Lattice parameters (Å, degrees): 9.1818 9.1783 11.4201 90.00 90.31 90.00
Space group C2/c (No. 15)
Unique sites:
Ba 0.0000 0.0016 0.2500 (multiplicity 4)
H 0.0605 0.3408 0.1439 (multiplicity 8)
H 0.0643 0.3403 0.8529 (multiplicity 8)
H 0.0905 0.2411 0.0305 (multiplicity 8)
H 0.1576 0.4393 0.6437 (multiplicity 8)
H 0.1610 0.4359 0.3525 (multiplicity 8)
H 0.2113 0.2476 0.8735 (multiplicity 8)
H 0.2419 0.0907 0.4690 (multiplicity 8)
H 0.2470 0.2116 0.6266 (multiplicity 8)
O 0.0024 0.5002 0.3154 (multiplicity 8)
O 0.0996 0.2422 0.1181 (multiplicity 8)
O 0.1027 0.2414 0.8795 (multiplicity 8)
O 0.2402 0.1028 0.6207 (multiplicity 8)
O 0.2439 0.1000 0.3816 (multiplicity 8)

BaH16O10: theoretical powder diffraction line list (Cu Kα, 1.54184 Å), based on a crystal structure in Alexandria, relaxed with GGA-PBE.
Lines closer than 0.1° are merged.

Peak list (10 most intense, 2θ = 10–90°, low angle first)
Position (°2θ)	I_rel
13.3	78
13.5	63
15.5	100
18.3	51
20.7	55
24.0	33
24.1	45
24.9	44
25.4	43
31.4	34

Lattice parameters (Å, degrees): 6.5716 6.6634 11.4596 91.05 90.51 94.27
Space group P1 (No. 1)
Unique sites:
Ba 0.0000 0.0000 0.0000 (multiplicity 1)
Ba 0.0200 0.0760 0.4998 (multiplicity 1)
H 0.0562 0.6270 0.3568 (multiplicity 1)
H 0.0637 0.6557 0.6367 (multiplicity 1)
H 0.0840 0.3630 0.2311 (multiplicity 1)
H 0.2184 0.2795 0.7825 (multiplicity 1)
H 0.2533 0.8337 0.2299 (multiplicity 1)
H 0.2649 0.8122 0.7943 (multiplicity 1)
H 0.2732 0.7024 0.4056 (multiplicity 1)
H 0.2762 0.4100 0.1388 (multiplicity 1)
H 0.2877 0.3889 0.8997 (multiplicity 1)
H 0.3005 0.6990 0.6220 (multiplicity 1)
H 0.3315 0.2321 0.2858 (multiplicity 1)
H 0.4060 0.9518 0.1395 (multiplicity 1)
H 0.4072 0.3649 0.6213 (multiplicity 1)
H 0.4270 0.6593 0.9446 (multiplicity 1)
H 0.4525 0.1353 0.6417 (multiplicity 1)
H 0.4529 0.9441 0.8588 (multiplicity 1)
H 0.4664 0.4428 0.4267 (multiplicity 1)
H 0.4998 0.1131 0.3546 (multiplicity 1)
H 0.5734 0.2726 0.0887 (multiplicity 1)
H 0.6025 0.1001 0.9961 (multiplicity 1)
H 0.6199 0.8062 0.3940 (multiplicity 1)
H 0.6208 0.8295 0.6220 (multiplicity 1)
H 0.6441 0.2112 0.8371 (multiplicity 1)
H 0.6667 0.6404 0.1264 (multiplicity 1)
H 0.6857 0.9973 0.7237 (multiplicity 1)
H 0.7220 0.8708 0.2768 (multiplicity 1)
H 0.7487 0.5046 0.5909 (multiplicity 1)
H 0.7562 0.5773 0.9064 (multiplicity 1)
H 0.8053 0.3959 0.3201 (multiplicity 1)
H 0.8908 0.6466 0.1880 (multiplicity 1)
H 0.9042 0.4693 0.4887 (multiplicity 1)
H 0.9789 0.5190 0.8696 (multiplicity 1)
O 0.1514 0.7555 0.3683 (multiplicity 1)
O 0.1654 0.3184 0.8601 (multiplicity 1)
O 0.1737 0.3049 0.1699 (multiplicity 1)
O 0.1751 0.7651 0.6484 (multiplicity 1)
O 0.2779 0.8644 0.1469 (multiplicity 1)
O 0.3243 0.8506 0.8727 (multiplicity 1)
O 0.3414 0.2286 0.6450 (multiplicity 1)
O 0.3968 0.2149 0.3642 (multiplicity 1)
O 0.4880 0.5884 0.4540 (multiplicity 1)
O 0.4950 0.5294 0.9561 (multiplicity 1)
O 0.5059 0.5011 0.0837 (multiplicity 1)
O 0.5073 0.5817 0.5829 (multiplicity 1)
O 0.6077 0.1260 0.0827 (multiplicity 1)
O 0.6670 0.0715 0.8532 (multiplicity 1)
O 0.6766 0.9716 0.6343 (multiplicity 1)
O 0.6829 0.9271 0.3555 (multiplicity 1)
O 0.7920 0.7379 0.1607 (multiplicity 1)
O 0.8911 0.4646 0.5765 (multiplicity 1)
O 0.8940 0.6329 0.8845 (multiplicity 1)
O 0.9456 0.4078 0.3490 (multiplicity 1)

BaP2H4O4: theoretical powder diffraction line list (Cu Kα, 1.54184 Å), based on a crystal structure in Alexandria, relaxed with GGA-PBE.
Lines closer than 0.1° are merged.

Peak list (10 most intense, 2θ = 10–90°, low angle first)
Position (°2θ)	I_rel
10.9	99
20.7	19
25.9	100
28.3	33
30.4	22
34.2	38
40.5	15
44.1	25
45.8	17
48.7	29

Lattice parameters (Å, degrees): 6.3086 16.2011 6.3030 90.00 90.00 90.00
Space group Ccce (No. 68, origin choice 2)
Unique sites:
Ba 0.0000 0.2500 0.2500 (multiplicity 4)
P 0.0000 0.1104 0.7500 (multiplicity 8)
H 0.1241 0.0557 0.6253 (multiplicity 16)
O 0.1467 0.1591 0.8965 (multiplicity 16)

Ba5P3HO13: theoretical powder diffraction line list (Cu Kα, 1.54184 Å), based on a crystal structure in Alexandria, relaxed with GGA-PBE.
Lines closer than 0.1° are merged.

Peak list (10 most intense, 2θ = 10–90°, low angle first)
Position (°2θ)	I_rel
19.8	14
24.8	19
26.2	19
28.6	100
29.8	31
41.8	18
43.0	16
43.8	18
45.5	13
46.6	16

Lattice parameters (Å, degrees): 10.3735 10.3735 7.8186 90.00 90.00 120.00
Space group P6_3 (No. 173)
Unique sites:
Ba 0.0168 0.7545 0.0000 (multiplicity 6)
Ba 0.3333 0.6667 0.2515 (multiplicity 2)
Ba 0.3333 0.6667 0.7509 (multiplicity 2)
P 0.0340 0.6327 0.4986 (multiplicity 6)
H 0.0000 0.0000 0.3118 (multiplicity 2)
O 0.0000 0.0000 0.4365 (multiplicity 2)
O 0.0790 0.7363 0.6589 (multiplicity 6)
O 0.0852 0.7315 0.3347 (multiplicity 6)
O 0.1190 0.5436 0.5045 (multiplicity 6)
O 0.1375 0.4773 0.9970 (multiplicity 6)

BaP2H2O2: theoretical powder diffraction line list (Cu Kα, 1.54184 Å), based on a crystal structure in Alexandria, relaxed with GGA-PBE.
Lines closer than 0.1° are merged.

Peak list (10 most intense, 2θ = 10–90°, low angle first)
Position (°2θ)	I_rel
25.7	65
26.4	54
26.6	44
30.0	100
30.7	67
34.9	68
36.1	82
36.7	37
39.4	36
51.8	40

Lattice parameters (Å, degrees): 7.1622 20.0905 7.3875 90.00 90.00 90.00
Space group Ccce (No. 68, origin choice 2)
Unique sites:
Ba 0.0000 0.0000 0.0000 (multiplicity 8)
P 0.1526 0.1429 0.2095 (multiplicity 16)
H 0.0988 0.1389 0.0197 (multiplicity 16)
O 0.2267 0.0660 0.2422 (multiplicity 16)